Record 1
For AlNi2Sb, a DFT-relaxed cell (GGA-PBE, Alexandria) gives the theoretical X-ray diffraction stick pattern in this record (Cu Kα (λ = 1.5418 Å)).
Peak positions follow from Bragg's law for the DFT cell and can differ from measured ones.

Largest 10 diffraction maxima, in order of rising 2θ, 10 to 90 degrees two-theta:
d [Å]  I_rel
4.156  14
3.411  18
2.645  9
2.231  100
2.078  19
1.871  27
1.390  20
1.227  13
1.138  21
1.116  10

a b c (Å): 4.926 4.926 4.926
angles (deg): 135.37 135.37 64.96
Atoms (fractional coordinates):
Al: 0.000 0.000 0.000
Ni: 0.250 0.750 0.500
Ni: 0.500 0.500 0.000
Sb: 0.750 0.250 0.500

***

Record 2
For AlNi15Sb4, a DFT-relaxed cell (GGA-PBE, Alexandria) gives the theoretical X-ray diffraction stick pattern in this record (Cu Kα (λ = 1.5418 Å)).
Peak positions follow from Bragg's law for the DFT cell and can differ from measured ones.

Largest 10 diffraction maxima, in order of rising 2θ, 10 to 90 degrees two-theta:
d [Å]  I_rel
3.710  4
2.611  3
2.278  3
2.135  100
1.855  32
1.838  14
1.312  10
1.306  17
1.118  23
1.110  9

a b c (Å): 3.710 3.710 18.383
angles (deg): 90.00 90.00 90.00
Atoms (fractional coordinates):
Al: 0.000 0.000 0.000
Ni: 0.000 0.500 0.093
Ni: 0.000 0.500 0.297
Ni: 0.000 0.500 0.500
Ni: 0.000 0.500 0.703
Ni: 0.000 0.500 0.907
Ni: 0.500 0.000 0.093
Ni: 0.500 0.000 0.297
Ni: 0.500 0.000 0.500
Ni: 0.500 0.000 0.703
Ni: 0.500 0.000 0.907
Ni: 0.500 0.500 0.000
Ni: 0.500 0.500 0.197
Ni: 0.500 0.500 0.398
Ni: 0.500 0.500 0.602
Ni: 0.500 0.500 0.803
Sb: 0.000 0.000 0.192
Sb: 0.000 0.000 0.398
Sb: 0.000 0.000 0.602
Sb: 0.000 0.000 0.808

***

Record 3
For ScAl2Ni2, a DFT-relaxed cell (GGA-PBE, Alexandria) gives the theoretical X-ray diffraction stick pattern in this record (Cu Kα (λ = 1.5418 Å)).
Peak positions follow from Bragg's law for the DFT cell and can differ from measured ones.

Largest 10 diffraction maxima, in order of rising 2θ, 10 to 90 degrees two-theta:
d [Å]  I_rel
3.799  22
2.641  23
2.412  100
2.336  41
1.964  21
1.933  58
1.870  37
1.489  18
1.367  17
1.189  18

a b c (Å): 10.618 10.618 10.618
angles (deg): 159.02 159.02 29.83
Atoms (fractional coordinates):
Sc: 0.124 0.124 0.000
Sc: 0.876 0.876 0.000
Al: 0.000 0.500 0.500
Al: 0.317 0.317 0.000
Al: 0.500 0.000 0.500
Al: 0.683 0.683 0.000
Ni: 0.250 0.750 0.500
Ni: 0.431 0.431 0.000
Ni: 0.569 0.569 0.000
Ni: 0.750 0.250 0.500

***

Record 4
For Sc2Al3Ni4, a DFT-relaxed cell (GGA-PBE, Alexandria) gives the theoretical X-ray diffraction stick pattern in this record (Cu Kα (λ = 1.5418 Å)).
Peak positions follow from Bragg's law for the DFT cell and can differ from measured ones.

Largest 10 diffraction maxima, in order of rising 2θ, 10 to 90 degrees two-theta:
d [Å]  I_rel
3.251  23
3.183  28
2.417  65
2.335  57
2.146  41
2.078  100
2.051  21
1.993  52
1.807  29
1.231  29

a b c (Å): 7.883 7.883 6.723
angles (deg): 90.00 90.00 140.82
Atoms (fractional coordinates):
Sc: 0.102 0.898 0.911
Sc: 0.398 0.602 0.411
Sc: 0.602 0.398 0.589
Sc: 0.898 0.102 0.089
Al: 0.000 0.000 0.500
Al: 0.013 0.487 0.750
Al: 0.487 0.013 0.250
Al: 0.500 0.500 0.000
Al: 0.513 0.987 0.750
Al: 0.987 0.513 0.250
Ni: 0.168 0.832 0.517
Ni: 0.178 0.322 0.750
Ni: 0.322 0.178 0.250
Ni: 0.332 0.668 0.017
Ni: 0.668 0.332 0.983
Ni: 0.678 0.822 0.750
Ni: 0.822 0.678 0.250
Ni: 0.832 0.168 0.483

***

Record 5
For Sc6Al7Ni16, a DFT-relaxed cell (GGA-PBE, Alexandria) gives the theoretical X-ray diffraction stick pattern in this record (Cu Kα (λ = 1.5418 Å)).
Peak positions follow from Bragg's law for the DFT cell and can differ from measured ones.

Largest 10 diffraction maxima, in order of rising 2θ, 10 to 90 degrees two-theta:
d [Å]  I_rel
6.767  16
5.860  26
2.256  62
2.072  100
1.981  36
1.853  15
1.787  22
1.229  14
1.196  16
1.178  18

a b c (Å): 8.288 8.288 8.288
angles (deg): 60.00 60.00 60.00
Atoms (fractional coordinates):
Sc: 0.216 0.216 0.784
Sc: 0.216 0.784 0.216
Sc: 0.216 0.784 0.784
Sc: 0.784 0.216 0.216
Sc: 0.784 0.216 0.784
Sc: 0.784 0.784 0.216
Al: 0.000 0.000 0.500
Al: 0.000 0.500 0.000
Al: 0.000 0.500 0.500
Al: 0.500 0.000 0.000
Al: 0.500 0.000 0.500
Al: 0.500 0.500 0.000
Al: 0.500 0.500 0.500
Ni: 0.135 0.622 0.622
Ni: 0.170 0.170 0.170
Ni: 0.170 0.170 0.490
Ni: 0.170 0.490 0.170
Ni: 0.378 0.378 0.378
Ni: 0.378 0.378 0.865
Ni: 0.378 0.865 0.378
Ni: 0.490 0.170 0.170
Ni: 0.510 0.830 0.830
Ni: 0.622 0.135 0.622
Ni: 0.622 0.622 0.135
Ni: 0.622 0.622 0.622
Ni: 0.830 0.510 0.830
Ni: 0.830 0.830 0.510
Ni: 0.830 0.830 0.830
Ni: 0.865 0.378 0.378

***

Record 6
For ScAl7Ni5, a DFT-relaxed cell (GGA-PBE, Alexandria) gives the theoretical X-ray diffraction stick pattern in this record (Cu Kα (λ = 1.5418 Å)).
Peak positions follow from Bragg's law for the DFT cell and can differ from measured ones.

Largest 10 diffraction maxima, in order of rising 2θ, 10 to 90 degrees two-theta:
d [Å]  I_rel
4.284  31
4.200  69
3.000  30
2.146  68
2.141  41
2.134  78
2.100  44
1.911  100
1.908  36
1.500  36

a b c (Å): 6.491 6.491 6.491
angles (deg): 135.07 97.43 99.37
Atoms (fractional coordinates):
Sc: 0.000 0.000 0.000
Al: 0.214 0.513 0.701
Al: 0.328 0.987 0.342
Al: 0.333 0.333 0.000
Al: 0.645 0.987 0.658
Al: 0.654 0.654 0.000
Al: 0.775 0.275 0.500
Al: 0.811 0.513 0.299
Ni: 0.230 0.730 0.500
Ni: 0.513 0.004 0.012
Ni: 0.513 0.501 0.508
Ni: 0.993 0.004 0.492
Ni: 0.993 0.501 0.988

***

Record 7
For ScAl6Ni6, a DFT-relaxed cell (GGA-PBE, Alexandria) gives the theoretical X-ray diffraction stick pattern in this record (Cu Kα (λ = 1.5418 Å)).
Peak positions follow from Bragg's law for the DFT cell and can differ from measured ones.

Largest 10 diffraction maxima, in order of rising 2θ, 10 to 90 degrees two-theta:
d [Å]  I_rel
4.270  19
4.113  55
2.962  19
2.138  28
2.133  51
2.114  51
2.056  31
1.895  100
1.853  15
1.481  27

a b c (Å): 6.424 6.424 6.424
angles (deg): 134.94 100.38 96.51
Atoms (fractional coordinates):
Sc: 0.000 0.000 0.000
Al: 0.185 0.685 0.500
Al: 0.336 0.000 0.336
Al: 0.344 0.344 0.000
Al: 0.656 0.656 0.000
Al: 0.664 0.000 0.664
Al: 0.815 0.315 0.500
Ni: 0.000 0.000 0.500
Ni: 0.000 0.500 0.000
Ni: 0.235 0.500 0.735
Ni: 0.500 0.000 0.000
Ni: 0.500 0.500 0.500
Ni: 0.765 0.500 0.265

***

Record 8
For Al3Si3Ni, a DFT-relaxed cell (GGA-PBE, Alexandria) gives the theoretical X-ray diffraction stick pattern in this record (Cu Kα (λ = 1.5418 Å)).
Peak positions follow from Bragg's law for the DFT cell and can differ from measured ones.

Largest 10 diffraction maxima, in order of rising 2θ, 10 to 90 degrees two-theta:
d [Å]  I_rel
4.427  100
3.451  65
3.088  51
2.643  29
2.514  96
2.198  46
2.011  41
1.960  99
1.873  47
1.836  96

a b c (Å): 3.669 7.495 8.854
angles (deg): 90.00 90.00 90.00
Atoms (fractional coordinates):
Al: 0.250 0.047 0.120
Al: 0.250 0.250 0.594
Al: 0.250 0.453 0.120
Al: 0.750 0.547 0.880
Al: 0.750 0.750 0.406
Al: 0.750 0.953 0.880
Si: 0.250 0.003 0.407
Si: 0.250 0.250 0.872
Si: 0.250 0.497 0.407
Si: 0.750 0.503 0.593
Si: 0.750 0.750 0.128
Si: 0.750 0.997 0.593
Ni: 0.250 0.750 0.984
Ni: 0.750 0.250 0.016

***

Record 9
For Al5Si2Ni, a DFT-relaxed cell (GGA-PBE, Alexandria) gives the theoretical X-ray diffraction stick pattern in this record (Cu Kα (λ = 1.5418 Å)).
Peak positions follow from Bragg's law for the DFT cell and can differ from measured ones.

Largest 10 diffraction maxima, in order of rising 2θ, 10 to 90 degrees two-theta:
d [Å]  I_rel
5.276  62
3.154  33
3.075  35
2.976  41
2.292  75
2.277  100
2.164  96
1.893  58
1.856  59
1.809  37

a b c (Å): 5.951 11.404 3.785
angles (deg): 90.00 90.00 90.00
Atoms (fractional coordinates):
Al: 0.000 0.000 0.000
Al: 0.145 0.397 0.500
Al: 0.149 0.698 0.000
Al: 0.351 0.198 0.000
Al: 0.355 0.897 0.500
Al: 0.500 0.500 0.000
Al: 0.645 0.103 0.500
Al: 0.649 0.802 0.000
Al: 0.851 0.302 0.000
Al: 0.855 0.603 0.500
Si: 0.048 0.169 0.500
Si: 0.452 0.669 0.500
Si: 0.548 0.331 0.500
Si: 0.952 0.831 0.500
Ni: 0.000 0.500 0.000
Ni: 0.500 0.000 0.000

***

Record 10
For Al2Si4Ni, a DFT-relaxed cell (GGA-PBE, Alexandria) gives the theoretical X-ray diffraction stick pattern in this record (Cu Kα (λ = 1.5418 Å)).
Peak positions follow from Bragg's law for the DFT cell and can differ from measured ones.

Largest 10 diffraction maxima, in order of rising 2θ, 10 to 90 degrees two-theta:
d [Å]  I_rel
5.397  18
3.141  50
3.016  100
2.879  29
2.201  80
1.906  94
1.814  87
1.779  26
1.400  18
1.314  27

a b c (Å): 3.627 3.627 21.589
angles (deg): 90.00 90.00 120.00
Atoms (fractional coordinates):
Al: 0.000 0.000 0.215
Al: 0.000 0.000 0.785
Al: 0.333 0.667 0.397
Al: 0.667 0.333 0.603
Si: 0.333 0.667 0.076
Si: 0.333 0.667 0.284
Si: 0.333 0.667 0.530
Si: 0.333 0.667 0.860
Si: 0.667 0.333 0.140
Si: 0.667 0.333 0.470
Si: 0.667 0.333 0.716
Si: 0.667 0.333 0.924
Ni: 0.333 0.667 0.966
Ni: 0.667 0.333 0.034

***

Record 11
For Al2Si4Ni, a DFT-relaxed cell (GGA-PBE, Alexandria) gives the theoretical X-ray diffraction stick pattern in this record (Cu Kα (λ = 1.5418 Å)).
Peak positions follow from Bragg's law for the DFT cell and can differ from measured ones.

Largest 10 diffraction maxima, in order of rising 2θ, 10 to 90 degrees two-theta:
d [Å]  I_rel
5.163  87
3.442  41
3.142  100
2.779  41
2.033  94
1.904  85
1.787  25
1.666  28
1.390  27
1.123  27

a b c (Å): 3.808 3.808 10.326
angles (deg): 90.00 90.00 120.00
Atoms (fractional coordinates):
Al: 0.333 0.667 0.198
Al: 0.667 0.333 0.802
Si: 0.333 0.667 0.439
Si: 0.333 0.667 0.932
Si: 0.667 0.333 0.068
Si: 0.667 0.333 0.561
Ni: 0.000 0.000 0.500

***

Record 12
For Al2Si2Ni, a DFT-relaxed cell (GGA-PBE, Alexandria) gives the theoretical X-ray diffraction stick pattern in this record (Cu Kα (λ = 1.5418 Å)).
Peak positions follow from Bragg's law for the DFT cell and can differ from measured ones.

Largest 10 diffraction maxima, in order of rising 2θ, 10 to 90 degrees two-theta:
d [Å]  I_rel
5.329  42
3.652  60
3.568  35
2.623  26
2.417  41
1.944  28
1.901  100
1.893  26
1.356  17
1.114  17

a b c (Å): 5.980 5.980 5.980
angles (deg): 143.09 142.07 53.97
Atoms (fractional coordinates):
Al: 0.142 0.142 0.000
Al: 0.858 0.858 0.000
Si: 0.377 0.377 0.000
Si: 0.623 0.623 0.000
Ni: 0.500 0.000 0.500

***

Record 13
For AlSiNi2, a DFT-relaxed cell (GGA-PBE, Alexandria) gives the theoretical X-ray diffraction stick pattern in this record (Cu Kα (λ = 1.5418 Å)).
Peak positions follow from Bragg's law for the DFT cell and can differ from measured ones.

Largest 10 diffraction maxima, in order of rising 2θ, 10 to 90 degrees two-theta:
d [Å]  I_rel
7.563  40
3.781  7
3.377  28
2.519  16
2.020  100
1.950  80
1.403  28
1.181  10
1.139  28
1.126  14

a b c (Å): 3.899 3.899 7.563
angles (deg): 90.00 90.00 120.00
Atoms (fractional coordinates):
Al: 0.333 0.667 0.405
Al: 0.667 0.333 0.595
Si: 0.000 0.000 0.174
Si: 0.000 0.000 0.826
Ni: 0.333 0.667 0.084
Ni: 0.333 0.667 0.732
Ni: 0.667 0.333 0.268
Ni: 0.667 0.333 0.916